No. 1
The following is a simulated powder XRD pattern of FeSi. It was derived from a DFT-relaxed cell (PBE, the Materials Project), using Cu Kα X-rays.
Peak positions follow from Bragg's law for the DFT cell and can differ from measured ones.

Cell and atoms:
```
data_FeSi
_chemical_formula_sum 'Fe4 Si4'
_cell_length_a 4.4482
_cell_length_b 4.4482
_cell_length_c 4.4482
_cell_angle_alpha 90.00
_cell_angle_beta 90.00
_cell_angle_gamma 90.00
_space_group_name_H-M_alt 'P 21 3'
_space_group_IT_number 198
_space_group_name_Hall 'P 2ac 2ab 3'
loop_
_atom_site_label
_atom_site_fract_x
_atom_site_fract_y
_atom_site_fract_z
_atom_site_occupancy
Fe1 0.1363 0.1363 0.1363 1
Si1 0.1592 0.3408 0.6592 1
```

Top 10 peaks for 2θ = 10–90°, in order of rising 2θ:
| 2θ/deg | I (rel.) | (hkl) |
| --- | --- | --- |
| 28.4 | 204 | 1 1 0 |
| 34.9 | 154 | 1 1 1 |
| 40.6 | 59 | 2 0 0 |
| 45.6 | 1000 | 2 1 0 |
| 50.2 | 495 | 2 1 1 |
| 62.7 | 35 | 2 2 1 |
| 70.2 | 112 | 3 1 1 |
| 77.3 | 63 | 3 0 2 |
| 80.9 | 274 | 3 1 2 |
| 87.8 | 78 | 4 0 0 |


No. 2
The following is a simulated powder XRD pattern of SmFeSi2. It was derived from a DFT-relaxed cell (PBE, the Materials Project), using Cu Kα X-rays.
Peak positions follow from Bragg's law for the DFT cell and can differ from measured ones.

Cell and atoms:
```
data_SmFeSi2
_chemical_formula_sum 'Sm2 Fe2 Si4'
_cell_length_a 4.3185
_cell_length_b 3.9826
_cell_length_c 8.0350
_cell_angle_alpha 90.00
_cell_angle_beta 103.16
_cell_angle_gamma 90.00
_space_group_name_H-M_alt 'P 1 21/m 1'
_space_group_IT_number 11
_space_group_name_Hall '-P 2yb'
loop_
_atom_site_label
_atom_site_fract_x
_atom_site_fract_y
_atom_site_fract_z
_atom_site_occupancy
Sm1 0.0955 0.2500 0.2047 1
Fe1 0.3816 0.2500 0.6088 1
Si1 0.1725 0.7500 0.4929 1
Si2 0.4598 0.2500 0.9022 1
```

Top 10 peaks for 2θ = 10–90°, in order of rising 2θ:
| 2θ/deg | I (rel.) | (hkl) |
| --- | --- | --- |
| 25.1 | 341 | 0 1 1 |
| 30.9 | 300 | 1 1 0 |
| 31.3 | 489 | 1 1 -1 |
| 32.1 | 314 | 0 1 2 |
| 34.7 | 1000 | 1 1 1 |
| 35.6 | 341 | 1 1 -2 |
| 36.2 | 397 | 1 0 -3 |
| 41.4 | 393 | 0 1 3 |
| 41.9 | 298 | 2 0 -1 |
| 45.6 | 316 | 0 2 0 |


No. 3
The following is a simulated powder XRD pattern of Sm2Fe3Si5. It was derived from a DFT-relaxed cell (PBE, the Materials Project), using Cu Kα X-rays.
Peak positions follow from Bragg's law for the DFT cell and can differ from measured ones.

Cell and atoms:
```
data_Sm2Fe3Si5
_chemical_formula_sum 'Sm8 Fe12 Si20'
_cell_length_a 10.4540
_cell_length_b 10.4540
_cell_length_c 5.5859
_cell_angle_alpha 90.00
_cell_angle_beta 90.00
_cell_angle_gamma 90.00
_space_group_name_H-M_alt 'P 4/m n c'
_space_group_IT_number 128
_space_group_name_Hall '-P 4 2n'
loop_
_atom_site_label
_atom_site_fract_x
_atom_site_fract_y
_atom_site_fract_z
_atom_site_occupancy
Sm1 0.0690 0.2357 0.0000 1
Fe1 0.0000 0.5000 0.2500 1
Fe2 0.1235 0.8536 0.5000 1
Si1 0.0000 0.0000 0.2790 1
Si2 0.0191 0.3210 0.5000 1
Si3 0.1776 0.6776 0.2500 1
```

Top 10 peaks for 2θ = 10–90°, in order of rising 2θ:
| 2θ/deg | I (rel.) | (hkl) |
| --- | --- | --- |
| 24.8 | 314 | 2 1 1 |
| 31.4 | 1000 | 3 1 1 |
| 32.0 | 288 | 0 0 2 |
| 35.4 | 336 | 4 1 0 |
| 37.5 | 285 | 2 1 2 |
| 38.5 | 264 | 4 2 0 |
| 39.0 | 533 | 4 1 1 |
| 40.5 | 610 | 2 2 2 |
| 53.7 | 247 | 5 3 1 |
| 56.7 | 187 | 3 1 3 |


No. 4
The following is a simulated powder XRD pattern of SmFeSi. It was derived from a DFT-relaxed cell (PBE, the Materials Project), using Cu Kα X-rays.
Peak positions follow from Bragg's law for the DFT cell and can differ from measured ones.

Cell and atoms:
```
data_SmFeSi
_chemical_formula_sum 'Sm2 Fe2 Si2'
_cell_length_a 4.0371
_cell_length_b 4.0371
_cell_length_c 6.7766
_cell_angle_alpha 90.00
_cell_angle_beta 90.00
_cell_angle_gamma 90.00
_space_group_name_H-M_alt 'P 4/n m m'
_space_group_IT_number 129
loop_
_space_group_symop_operation_xyz
'x,y,z'
'-x,-y,-z'
'-y+1/2,x,z'
'y+1/2,-x,-z'
'-x+1/2,-y+1/2,z'
'x+1/2,y+1/2,-z'
'y,-x+1/2,z'
'-y,x+1/2,-z'
'x+1/2,-y,-z'
'-x+1/2,y,z'
'-y,-x,-z'
'y,x,z'
'-x,y+1/2,-z'
'x,-y+1/2,z'
'y+1/2,x+1/2,-z'
'-y+1/2,-x+1/2,z'
loop_
_atom_site_label
_atom_site_fract_x
_atom_site_fract_y
_atom_site_fract_z
_atom_site_occupancy
Sm1 0.2500 0.2500 0.1839 1
Fe1 0.2500 0.7500 0.5000 1
Si1 0.2500 0.2500 0.6693 1
```

Top 10 peaks for 2θ = 10–90°, in order of rising 2θ:
| 2θ/deg | I (rel.) | (hkl) |
| --- | --- | --- |
| 25.7 | 1000 | 1 0 1 |
| 31.3 | 346 | 1 1 0 |
| 34.1 | 439 | 1 1 1 |
| 34.6 | 686 | 1 0 2 |
| 41.4 | 698 | 1 1 2 |
| 44.9 | 504 | 2 0 0 |
| 52.4 | 293 | 2 1 1 |
| 57.9 | 308 | 2 1 2 |
| 59.1 | 243 | 1 0 4 |
| 77.2 | 223 | 2 1 4 |


No. 5
The following is a simulated powder XRD pattern of Sm4Fe31Si3. It was derived from a DFT-relaxed cell (PBE, the Materials Project), using Cu Kα X-rays.
Peak positions follow from Bragg's law for the DFT cell and can differ from measured ones.

Cell and atoms:
```
data_Sm4Fe31Si3
_chemical_formula_sum 'Sm4 Fe31 Si3'
_cell_length_a 6.3826
_cell_length_b 6.4008
_cell_length_c 12.7728
_cell_angle_alpha 82.83
_cell_angle_beta 82.87
_cell_angle_gamma 82.88
_space_group_name_H-M_alt 'P 1'
_space_group_IT_number 1
_space_group_name_Hall 'P 1'
loop_
_atom_site_label
_atom_site_fract_x
_atom_site_fract_y
_atom_site_fract_z
_atom_site_occupancy
Sm1 0.0000 0.0000 0.0000 1
Sm2 0.0005 0.0009 0.5001 1
Sm3 0.3161 0.3182 0.6588 1
Sm4 0.3176 0.3197 0.1589 1
Fe1 0.1538 0.6608 0.3289 1
Fe2 0.1566 0.6580 0.8290 1
Fe3 0.3153 0.3157 0.9072 1
Fe4 0.3152 0.8142 0.6572 1
Fe5 0.3173 0.8131 0.1588 1
Fe6 0.3183 0.3169 0.4071 1
Fe7 0.3630 0.9511 0.3279 1
Fe8 0.3644 0.6583 0.4743 1
Fe9 0.3650 0.6589 0.9754 1
Fe10 0.3652 0.9499 0.8290 1
Fe11 0.5614 0.5623 0.2807 1
Fe12 0.5617 0.5620 0.7805 1
Fe13 0.6563 0.3638 0.9762 1
Fe14 0.6564 0.9512 0.6817 1
Fe15 0.6572 0.3646 0.4749 1
Fe16 0.6568 0.9507 0.1817 1
Fe17 0.6581 0.1559 0.8299 1
Fe18 0.6581 0.6602 0.0779 1
Fe19 0.6583 0.6601 0.5766 1
Fe20 0.6593 0.1543 0.3293 1
Fe21 0.7516 0.7543 0.8772 1
Fe22 0.7517 0.7550 0.3753 1
Fe23 0.8154 0.3166 0.1589 1
Fe24 0.8150 0.3172 0.6581 1
Fe25 0.9502 0.3653 0.8296 1
Fe26 0.9504 0.6594 0.1823 1
Fe27 0.9501 0.6595 0.6822 1
Fe28 0.9516 0.3643 0.3285 1
Fe29 0.9977 0.5029 0.0008 1
Fe30 0.9988 0.0007 0.7510 1
Fe31 0.9995 0.5018 0.4986 1
Si1 0.5029 0.9976 0.9992 1
Si2 0.5040 0.9976 0.4973 1
Si3 0.9965 0.9976 0.2516 1
```

Top 10 peaks for 2θ = 10–90°, in order of rising 2θ:
| 2θ/deg | I (rel.) | (hkl) |
| --- | --- | --- |
| 30.3 | 428 | 1 0 4 |
| 36.8 | 536 | 1 -2 2 |
| 38.1 | 265 | 0 2 4 |
| 42.8 | 665 | 2 0 -4 |
| 43.0 | 182 | 0 3 0 |
| 43.1 | 1000 | 3 0 0 |
| 43.9 | 482 | 2 2 4 |
| 48.4 | 161 | 1 3 -2 |
| 62.3 | 151 | 1 2 8 |
| 63.0 | 196 | 0 2 8 |


No. 6
The following is a simulated powder XRD pattern of Ta3Fe8Si. It was derived from a DFT-relaxed cell (PBE, the Materials Project), using Cu Kα X-rays.
Peak positions follow from Bragg's law for the DFT cell and can differ from measured ones.

Cell and atoms:
```
data_Ta3Fe8Si
_chemical_formula_sum 'Ta3 Fe8 Si1'
_cell_length_a 4.7622
_cell_length_b 4.7622
_cell_length_c 7.7699
_cell_angle_alpha 90.00
_cell_angle_beta 90.00
_cell_angle_gamma 120.00
_space_group_name_H-M_alt 'P 3 m 1'
_space_group_IT_number 156
_space_group_name_Hall 'P 3 -2"'
loop_
_atom_site_label
_atom_site_fract_x
_atom_site_fract_y
_atom_site_fract_z
_atom_site_occupancy
Ta1 0.0000 0.0000 0.0000 1
Ta2 0.0000 0.0000 0.3759 1
Ta3 0.6667 0.3333 0.8511 1
Fe1 0.1647 0.3294 0.6830 1
Fe2 0.3333 0.6667 0.4357 1
Fe3 0.3333 0.6667 0.9416 1
Fe4 0.5033 0.0066 0.1869 1
Si1 0.6667 0.3333 0.4903 1
```

Top 10 peaks for 2θ = 10–90°, in order of rising 2θ:
| 2θ/deg | I (rel.) | (hkl) |
| --- | --- | --- |
| 21.5 | 225 | 1 0 0 |
| 24.4 | 309 | 0 1 1 |
| 31.6 | 318 | 0 1 2 |
| 37.8 | 625 | 1 1 0 |
| 41.2 | 1000 | 1 0 3 |
| 44.6 | 909 | 1 1 2 |
| 45.5 | 630 | 2 0 1 |
| 70.5 | 387 | 2 1 3 |
| 73.0 | 244 | 0 0 6 |
| 76.8 | 236 | 0 2 5 |


No. 7
The following is a simulated powder XRD pattern of Ta6Fe16Si7. It was derived from a DFT-relaxed cell (PBE, the Materials Project), using Cu Kα X-rays.
Peak positions follow from Bragg's law for the DFT cell and can differ from measured ones.

Cell and atoms:
```
data_Ta6Fe16Si7
_chemical_formula_sum 'Ta24 Fe64 Si28'
_cell_length_a 11.2083
_cell_length_b 11.2083
_cell_length_c 11.2083
_cell_angle_alpha 90.00
_cell_angle_beta 90.00
_cell_angle_gamma 90.00
_space_group_name_H-M_alt 'F m -3 m'
_space_group_IT_number 225
_space_group_name_Hall '-F 4 2 3'
loop_
_atom_site_label
_atom_site_fract_x
_atom_site_fract_y
_atom_site_fract_z
_atom_site_occupancy
Ta1 0.0000 0.0000 0.2036 1
Fe1 0.1197 0.1197 0.3803 1
Fe2 0.1732 0.1732 0.1732 1
Si1 0.0000 0.0000 0.5000 1
Si2 0.0000 0.2500 0.2500 1
```

Top 10 peaks for 2θ = 10–90°, in order of rising 2θ:
| 2θ/deg | I (rel.) | (hkl) |
| --- | --- | --- |
| 27.6 | 547 | 2 2 2 |
| 34.9 | 233 | 3 3 1 |
| 39.4 | 310 | 4 2 2 |
| 41.9 | 1000 | 3 3 3 |
| 45.8 | 630 | 4 4 0 |
| 48.7 | 179 | 6 0 0 |
| 58.8 | 166 | 5 5 1 |
| 68.5 | 167 | 7 3 3 |
| 71.4 | 251 | 8 2 2 |
| 86.4 | 156 | 9 3 3 |


No. 8
The following is a simulated powder XRD pattern of TaFe4Si. It was derived from a DFT-relaxed cell (PBE, the Materials Project), using Cu Kα X-rays.
Peak positions follow from Bragg's law for the DFT cell and can differ from measured ones.

Cell and atoms:
```
data_TaFe4Si
_chemical_formula_sum 'Ta2 Fe8 Si2'
_cell_length_a 4.7875
_cell_length_b 4.7875
_cell_length_c 7.5148
_cell_angle_alpha 90.00
_cell_angle_beta 90.00
_cell_angle_gamma 120.00
_space_group_name_H-M_alt 'P -3 m 1'
_space_group_IT_number 164
_space_group_name_Hall '-P 3 2"'
loop_
_atom_site_label
_atom_site_fract_x
_atom_site_fract_y
_atom_site_fract_z
_atom_site_occupancy
Ta1 0.3333 0.6667 0.0794 1
Fe1 0.0000 0.0000 0.0000 1
Fe2 0.0000 0.0000 0.5000 1
Fe3 0.1706 0.3411 0.7439 1
Si1 0.3333 0.6667 0.4425 1
```

Top 10 peaks for 2θ = 10–90°, in order of rising 2θ:
| 2θ/deg | I (rel.) | (hkl) |
| --- | --- | --- |
| 11.8 | 982 | 0 0 1 |
| 24.5 | 396 | 1 0 1 |
| 32.1 | 572 | 1 0 2 |
| 37.6 | 564 | 1 1 0 |
| 39.5 | 402 | 1 1 1 |
| 42.1 | 1000 | 0 1 3 |
| 44.9 | 868 | 1 1 2 |
| 45.4 | 894 | 0 2 1 |
| 70.9 | 389 | 1 2 3 |
| 80.2 | 259 | 2 2 0 |


No. 9
The following is a simulated powder XRD pattern of TbFeSi. It was derived from a DFT-relaxed cell (PBE, the Materials Project), using Cu Kα X-rays.
Peak positions follow from Bragg's law for the DFT cell and can differ from measured ones.

Cell and atoms:
```
data_TbFeSi
_chemical_formula_sum 'Tb2 Fe2 Si2'
_cell_length_a 4.0409
_cell_length_b 4.0409
_cell_length_c 6.5799
_cell_angle_alpha 90.00
_cell_angle_beta 90.00
_cell_angle_gamma 90.00
_space_group_name_H-M_alt 'P 4/n m m'
_space_group_IT_number 129
loop_
_space_group_symop_operation_xyz
'x,y,z'
'-x,-y,-z'
'-y+1/2,x,z'
'y+1/2,-x,-z'
'-x+1/2,-y+1/2,z'
'x+1/2,y+1/2,-z'
'y,-x+1/2,z'
'-y,x+1/2,-z'
'x+1/2,-y,-z'
'-x+1/2,y,z'
'-y,-x,-z'
'y,x,z'
'-x,y+1/2,-z'
'x,-y+1/2,z'
'y+1/2,x+1/2,-z'
'-y+1/2,-x+1/2,z'
loop_
_atom_site_label
_atom_site_fract_x
_atom_site_fract_y
_atom_site_fract_z
_atom_site_occupancy
Tb1 0.2500 0.2500 0.1858 1
Fe1 0.2500 0.7500 0.5000 1
Si1 0.2500 0.2500 0.6758 1
```

Top 10 peaks for 2θ = 10–90°, in order of rising 2θ:
| 2θ/deg | I (rel.) | (hkl) |
| --- | --- | --- |
| 25.9 | 1000 | 1 0 1 |
| 31.3 | 354 | 1 1 0 |
| 34.2 | 408 | 1 1 1 |
| 35.2 | 603 | 1 0 2 |
| 41.9 | 677 | 1 1 2 |
| 44.9 | 486 | 2 0 0 |
| 52.5 | 340 | 2 1 1 |
| 58.2 | 280 | 2 1 2 |
| 60.8 | 225 | 1 0 4 |
| 78.7 | 215 | 2 1 4 |


No. 10
The following is a simulated powder XRD pattern of Tb2Fe3Si5. It was derived from a DFT-relaxed cell (PBE, the Materials Project), using Cu Kα X-rays.
Peak positions follow from Bragg's law for the DFT cell and can differ from measured ones.

Cell and atoms:
```
data_Tb2Fe3Si5
_chemical_formula_sum 'Tb8 Fe12 Si20'
_cell_length_a 10.3927
_cell_length_b 10.3927
_cell_length_c 5.5078
_cell_angle_alpha 90.00
_cell_angle_beta 90.00
_cell_angle_gamma 90.00
_space_group_name_H-M_alt 'P 4/m n c'
_space_group_IT_number 128
_space_group_name_Hall '-P 4 2n'
loop_
_atom_site_label
_atom_site_fract_x
_atom_site_fract_y
_atom_site_fract_z
_atom_site_occupancy
Tb1 0.0695 0.2360 0.0000 1
Fe1 0.0000 0.5000 0.2500 1
Fe2 0.1230 0.8548 0.5000 1
Si1 0.0000 0.0000 0.2712 1
Si2 0.0214 0.3202 0.5000 1
Si3 0.1773 0.6773 0.2500 1
```

Top 10 peaks for 2θ = 10–90°, in order of rising 2θ:
| 2θ/deg | I (rel.) | (hkl) |
| --- | --- | --- |
| 25.1 | 327 | 2 1 1 |
| 31.7 | 1000 | 3 1 1 |
| 32.5 | 283 | 0 0 2 |
| 35.6 | 339 | 4 1 0 |
| 38.0 | 286 | 2 1 2 |
| 38.7 | 260 | 4 2 0 |
| 39.3 | 527 | 4 1 1 |
| 41.0 | 585 | 2 2 2 |
| 54.1 | 254 | 5 3 1 |
| 57.5 | 184 | 3 1 3 |


No. 11
The following is a simulated powder XRD pattern of TbFeSi2. It was derived from a DFT-relaxed cell (PBE, the Materials Project), using Cu Kα X-rays.
Peak positions follow from Bragg's law for the DFT cell and can differ from measured ones.

Cell and atoms:
```
data_TbFeSi2
_chemical_formula_sum 'Tb4 Fe4 Si8'
_cell_length_a 3.9998
_cell_length_b 16.6000
_cell_length_c 3.9794
_cell_angle_alpha 90.00
_cell_angle_beta 90.00
_cell_angle_gamma 90.00
_space_group_name_H-M_alt 'C m c m'
_space_group_IT_number 63
_space_group_name_Hall '-C 2c 2'
loop_
_atom_site_label
_atom_site_fract_x
_atom_site_fract_y
_atom_site_fract_z
_atom_site_occupancy
Tb1 0.0000 0.1077 0.2500 1
Fe1 0.0000 0.2512 0.7500 1
Si1 0.0000 0.3138 0.2500 1
Si2 0.0000 0.4627 0.2500 1
```

Top 10 peaks for 2θ = 10–90°, in order of rising 2θ:
| 2θ/deg | I (rel.) | (hkl) |
| --- | --- | --- |
| 22.9 | 236 | 1 1 0 |
| 24.8 | 421 | 0 2 1 |
| 32.2 | 159 | 1 1 1 |
| 35.1 | 445 | 1 5 0 |
| 35.7 | 1000 | 1 3 1 |
| 39.7 | 247 | 0 6 1 |
| 45.3 | 217 | 2 0 0 |
| 45.6 | 213 | 0 0 2 |
| 58.8 | 199 | 1 5 2 |
| 70.8 | 154 | 1 11 1 |